The following is a computed X-ray diffraction stick pattern of La8TbTm2. It was derived from the PBE geometry in Alexandria, using CuKα.
Peak positions follow from Bragg's law for the DFT cell and can differ from measured ones.

Structure:
```
data_La8TbTm2
_chemical_formula_sum 'La8 Tb1 Tm2'
_space_group_name_H-M_alt 'P 1'
_space_group_IT_number 1
_space_group_name_Hall 'P 1'
_cell_length_a 9.5872
_cell_length_b 9.5872
_cell_length_c 6.0724
_cell_angle_alpha 105.63
_cell_angle_beta 105.63
_cell_angle_gamma 122.32
loop_
_atom_site_label
_atom_site_fract_x
_atom_site_fract_y
_atom_site_fract_z
La1 0.0954 0.3350 0.6840
La2 0.2059 0.7941 0.0000
La3 0.3350 0.0954 0.6840
La4 0.4207 0.4207 0.2019
La5 0.5793 0.5793 0.7981
La6 0.6650 0.9046 0.3160
La7 0.7941 0.2059 0.0000
La8 0.9046 0.6650 0.3160
Tb1 0.0000 0.0000 0.0000
Tm1 0.3115 0.6885 0.5000
Tm2 0.6885 0.3115 0.5000
```

Peak list (8 most intense, 2θ from 10° to 90°, sorted by position)
| d (Å) | intensity |
| --- | --- |
| 3.355 | 22 |
| 3.225 | 28 |
| 3.027 | 72 |
| 3.015 | 37 |
| 2.935 | 100 |
| 2.921 | 45 |
| 2.882 | 23 |
| 2.834 | 69 |

=====

The following is a computed X-ray diffraction stick pattern of PrNd7Sm3. It was derived from the PBE geometry in Alexandria, using CuKα.
Peak positions follow from Bragg's law for the DFT cell and can differ from measured ones.

Structure:
```
data_PrNd7Sm3
_chemical_formula_sum 'Pr1 Nd7 Sm3'
_space_group_name_H-M_alt 'P 1'
_space_group_IT_number 1
_space_group_name_Hall 'P 1'
_cell_length_a 11.1495
_cell_length_b 11.1495
_cell_length_c 3.6539
_cell_angle_alpha 90.00
_cell_angle_beta 90.00
_cell_angle_gamma 120.00
loop_
_atom_site_label
_atom_site_fract_x
_atom_site_fract_y
_atom_site_fract_z
Pr1 0.0000 0.0000 0.0000
Nd1 0.0245 0.5122 0.9988
Nd2 0.3333 0.6667 0.4982
Nd3 0.4072 0.2036 0.4987
Nd4 0.4878 0.5122 0.9988
Nd5 0.4878 0.9755 0.9988
Nd6 0.7964 0.2036 0.4987
Nd7 0.7964 0.5928 0.4987
Sm1 0.1556 0.3113 0.4997
Sm2 0.1556 0.8444 0.4997
Sm3 0.6887 0.8444 0.4997
```

Peak list (8 most intense, 2θ from 10° to 90°, sorted by position)
| d (Å) | intensity |
| --- | --- |
| 3.651 | 18 |
| 3.219 | 23 |
| 2.914 | 100 |
| 2.787 | 70 |
| 2.582 | 24 |
| 2.014 | 21 |
| 1.633 | 29 |
| 1.528 | 23 |

=====

The following is a computed X-ray diffraction stick pattern of Bi6Te2Rh. It was derived from the PBE geometry in Alexandria, using CuKα.
Peak positions follow from Bragg's law for the DFT cell and can differ from measured ones.

Structure:
```
data_Bi6Te2Rh
_chemical_formula_sum 'Bi12 Te4 Rh2'
_space_group_name_H-M_alt 'P 1'
_space_group_IT_number 1
_space_group_name_Hall 'P 1'
_cell_length_a 8.5845
_cell_length_b 8.5845
_cell_length_c 8.9805
_cell_angle_alpha 90.02
_cell_angle_beta 90.02
_cell_angle_gamma 121.92
loop_
_atom_site_label
_atom_site_fract_x
_atom_site_fract_y
_atom_site_fract_z
Bi1 0.0260 0.4373 0.7500
Bi2 0.1048 0.8948 0.5551
Bi3 0.1052 0.8952 0.9449
Bi4 0.2581 0.3103 0.2500
Bi5 0.3103 0.2581 0.7500
Bi6 0.4373 0.0260 0.2500
Bi7 0.5627 0.9740 0.7500
Bi8 0.6897 0.7419 0.2500
Bi9 0.7419 0.6897 0.7500
Bi10 0.8948 0.1048 0.0551
Bi11 0.8952 0.1052 0.4449
Bi12 0.9740 0.5627 0.2500
Te1 0.3453 0.6546 0.5238
Te2 0.3454 0.6547 0.9762
Te3 0.6546 0.3453 0.0238
Te4 0.6547 0.3454 0.4762
Rh1 0.0694 0.9306 0.2500
Rh2 0.9306 0.0694 0.7500
```

Peak list (8 most intense, 2θ from 10° to 90°, sorted by position)
| d (Å) | intensity |
| --- | --- |
| 7.287 | 21 |
| 3.462 | 34 |
| 3.055 | 100 |
| 2.879 | 51 |
| 2.788 | 65 |
| 2.663 | 34 |
| 2.084 | 23 |
| 2.040 | 43 |

=====

The following is a computed X-ray diffraction stick pattern of Li4AcTl2Hg. It was derived from the PBE geometry in Alexandria, using CuKα.
Peak positions follow from Bragg's law for the DFT cell and can differ from measured ones.

Structure:
```
data_Li4AcTl2Hg
_chemical_formula_sum 'Li4 Ac1 Tl2 Hg1'
_space_group_name_H-M_alt 'P 1'
_space_group_IT_number 1
_space_group_name_Hall 'P 1'
_cell_length_a 9.9295
_cell_length_b 9.9295
_cell_length_c 9.9295
_cell_angle_alpha 27.89
_cell_angle_beta 27.89
_cell_angle_gamma 27.89
loop_
_atom_site_label
_atom_site_fract_x
_atom_site_fract_y
_atom_site_fract_z
Li1 0.0899 0.0899 0.0899
Li2 0.3638 0.3638 0.3638
Li3 0.6362 0.6362 0.6362
Li4 0.9101 0.9101 0.9101
Ac1 0.5000 0.5000 0.5000
Tl1 0.2473 0.2473 0.2473
Tl2 0.7527 0.7527 0.7527
Hg1 0.0000 0.0000 0.0000
```

Peak list (8 most intense, 2θ from 10° to 90°, sorted by position)
| d (Å) | intensity |
| --- | --- |
| 3.586 | 100 |
| 2.708 | 51 |
| 2.393 | 38 |
| 1.991 | 20 |
| 1.793 | 16 |
| 1.689 | 25 |
| 1.530 | 18 |
| 1.435 | 15 |

=====

The following is a computed X-ray diffraction stick pattern of Er3AlSi2. It was derived from the PBE geometry in Alexandria, using CuKα.
Peak positions follow from Bragg's law for the DFT cell and can differ from measured ones.

Structure:
```
data_Er3AlSi2
_chemical_formula_sum 'Er12 Al4 Si8'
_space_group_name_H-M_alt 'P 1'
_space_group_IT_number 1
_space_group_name_Hall 'P 1'
_cell_length_a 11.3779
_cell_length_b 4.1293
_cell_length_c 11.3669
_cell_angle_alpha 90.00
_cell_angle_beta 90.00
_cell_angle_gamma 90.00
loop_
_atom_site_label
_atom_site_fract_x
_atom_site_fract_y
_atom_site_fract_z
Er1 0.0544 0.2500 0.1188
Er2 0.1277 0.7500 0.5650
Er3 0.1997 0.2500 0.8010
Er4 0.3003 0.7500 0.3010
Er5 0.3723 0.2500 0.0650
Er6 0.4456 0.7500 0.6188
Er7 0.5544 0.2500 0.3812
Er8 0.6277 0.7500 0.9350
Er9 0.6997 0.2500 0.6990
Er10 0.8003 0.7500 0.1990
Er11 0.8723 0.2500 0.4350
Er12 0.9456 0.7500 0.8812
Al1 0.1337 0.2500 0.3691
Al2 0.3663 0.7500 0.8691
Al3 0.6337 0.2500 0.1309
Al4 0.8663 0.7500 0.6309
Si1 0.0216 0.7500 0.3165
Si2 0.1873 0.7500 0.9978
Si3 0.3127 0.2500 0.4978
Si4 0.4784 0.2500 0.8165
Si5 0.5216 0.7500 0.1835
Si6 0.6873 0.7500 0.5022
Si7 0.8127 0.2500 0.0022
Si8 0.9784 0.2500 0.6835
```

Peak list (8 most intense, 2θ from 10° to 90°, sorted by position)
| d (Å) | intensity |
| --- | --- |
| 3.673 | 62 |
| 3.206 | 62 |
| 3.155 | 54 |
| 2.881 | 53 |
| 2.792 | 100 |
| 2.758 | 90 |
| 2.712 | 57 |
| 2.507 | 79 |

=====

The following is a computed X-ray diffraction stick pattern of ScPd3Au2. It was derived from the PBE geometry in Alexandria, using CuKα.
Peak positions follow from Bragg's law for the DFT cell and can differ from measured ones.

Structure:
```
data_ScPd3Au2
_chemical_formula_sum 'Sc1 Pd3 Au2'
_space_group_name_H-M_alt 'P 1'
_space_group_IT_number 1
_space_group_name_Hall 'P 1'
_cell_length_a 6.5403
_cell_length_b 6.5403
_cell_length_c 3.9572
_cell_angle_alpha 90.00
_cell_angle_beta 90.00
_cell_angle_gamma 143.59
loop_
_atom_site_label
_atom_site_fract_x
_atom_site_fract_y
_atom_site_fract_z
Sc1 0.0000 0.0000 0.0000
Pd1 0.1651 0.8349 0.5000
Pd2 0.5000 0.5000 0.5000
Pd3 0.8349 0.1651 0.5000
Au1 0.3362 0.6638 0.0000
Au2 0.6638 0.3362 0.0000
```

Peak list (8 most intense, 2θ from 10° to 90°, sorted by position)
| d (Å) | intensity |
| --- | --- |
| 2.344 | 100 |
| 2.071 | 17 |
| 2.043 | 17 |
| 1.979 | 15 |
| 1.242 | 13 |
| 1.230 | 13 |
| 1.201 | 12 |
| 1.172 | 11 |